Diffraction record for BaIn2Co. The powder XRD pattern is computed, not measured: it uses a cell relaxed with PBE and Cu Kα (weighted mean of Kα1 and Kα2).
Kinematic intensities with the Lorentz-polarization factor, no thermal factor.

Peak list (6 most intense, 2θ = 10–80°, by angle)
- 14.3 deg, intensity 29, (0 0 3)
- 22.9 deg, intensity 29, (1 0 1)
- 29.6 deg, intensity 86, (1 0 4)
- 33.1 deg, intensity 74, (0 1 5)
- 39.2 deg, intensity 100, (1 1 0)
- 49.5 deg, intensity 33, (1 1 6)

Crystal structure
```
data_BaIn2Co
_space_group_name_H-M_alt 'R 3 m'
_space_group_IT_number 160
_space_group_name_Hall 'R 3 -2"'
_cell_length_a 4.5916
_cell_length_b 4.5916
_cell_length_c 18.5190
_cell_angle_alpha 90.00
_cell_angle_beta 90.00
_cell_angle_gamma 120.00
loop_
_atom_site_label
_atom_site_type_symbol
_atom_site_fract_x
_atom_site_fract_y
_atom_site_fract_z
Ba1 Ba 0.0000 0.0000 0.0000
In1 In 0.0000 0.0000 0.5359
In2 In 0.0000 0.0000 0.7985
Co1 Co 0.0000 0.0000 0.1787
```